PaNbNiO6: calculated powder diffraction line list (Cu Kα X-rays), based on a crystal structure in Alexandria, relaxed with PBE+U.

Crystal structure
Cell: 5.1998 5.1998 9.7659 Å, 90.00 90.00 120.00°
Space group P-31c (No. 163)
Symmetry-distinct sites (fractional):
Pa1 0.0000 0.0000 0.0000 [2 per cell]
Nb1 0.3333 0.6667 0.2500 [2 per cell]
Ni1 0.3333 0.6667 0.7500 [2 per cell]
O1 0.0117 0.3464 0.1338 [12 per cell]

The 10 most intense peaks (2θ = 10–90°), low angle first:
(1 0 0), 2θ = 19.7°, 4.503 Å, rel. 22
(1 0 2), 2θ = 26.9°, 3.310 Å, rel. 100
(1 1 0), 2θ = 34.5°, 2.600 Å, rel. 32
(2 0 2), 2θ = 44.3°, 2.045 Å, rel. 26
(1 1 4), 2θ = 51.3°, 1.780 Å, rel. 33
(2 1 2), 2θ = 57.3°, 1.607 Å, rel. 25
(1 0 6), 2θ = 60.5°, 1.531 Å, rel. 11
(3 0 0), 2θ = 61.8°, 1.501 Å, rel. 11
(4 -1 2), 2θ = 79.2°, 1.210 Å, rel. 10
(3 -1 6), 2θ = 81.9°, 1.176 Å, rel. 9

Rb2GaNiF6: calculated powder diffraction line list (Cu Kα X-rays), based on a crystal structure in Alexandria, relaxed with PBE+U.

Crystal structure
Cell: 5.743 5.743 9.447 Å, 90.00 90.00 90.00°
Space group I4/mmm (No. 139)
Symmetry-distinct sites (fractional):
Rb1 0.000 0.500 0.250 [4 per cell]
Ga1 0.000 0.000 0.000 [2 per cell]
Ni1 0.000 0.000 0.500 [2 per cell]
F1 0.000 0.000 0.201 [4 per cell]
F2 0.241 0.241 0.000 [8 per cell]

The 10 most intense peaks (2θ = 10–90°), low angle first:
(1 1 2), 2θ = 29.0°, 3.079 Å, rel. 100
(2 0 0), 2θ = 31.1°, 2.871 Å, rel. 39
(2 0 2), 2θ = 36.6°, 2.454 Å, rel. 14
(0 0 4), 2θ = 38.1°, 2.362 Å, rel. 25
(2 2 0), 2θ = 44.6°, 2.030 Å, rel. 34
(2 0 4), 2θ = 50.0°, 1.824 Å, rel. 17
(3 1 2), 2θ = 54.1°, 1.695 Å, rel. 34
(2 2 4), 2θ = 60.1°, 1.540 Å, rel. 23
(1 1 6), 2θ = 63.4°, 1.468 Å, rel. 14
(3 1 6), 2θ = 80.8°, 1.190 Å, rel. 13